[1]
Computed X-ray powder pattern of TaSiSb2 for Cu Kα (weighted mean of Kα1 and Kα2), from the PBE geometry in Alexandria.
Lines closer than 0.1° are merged.

Main lines, sorted by position (10° ≤ 2θ ≤ 80°):
two_theta  d [Å]  intensity
12.6  7.024  50
28.8  3.104  13
36.5  2.465  100
36.7  2.447  51
39.0  2.311  14
46.9  1.939  14
52.9  1.730  18
65.4  1.427  16
66.0  1.416  35
77.4  1.232  10

```
4
Lattice="3.461 0.000 0.000 0.000 3.461 0.000 0.000 0.000 7.024" Properties=species:S:1:pos:R:3 pbc="T T T"
Ta 0.000 0.000 0.000
Si 0.000 0.000 3.512
Sb 1.730 1.730 1.618
Sb 1.730 1.730 5.406
```


[2]
Computed X-ray powder pattern of Ac8Pm5Nd for Cu Kα (weighted mean of Kα1 and Kα2), from the PBE geometry in Alexandria.
Lines closer than 0.1° are merged.

Main lines, sorted by position (10° ≤ 2θ ≤ 80°):
two_theta  d [Å]  intensity
28.7  3.108  88
29.0  3.077  100
29.2  3.054  87
29.6  3.022  57
30.6  2.918  64
30.8  2.902  72
39.2  2.296  27
43.6  2.076  24
44.4  2.040  22
53.6  1.710  27

```
14
Lattice="9.052 0.000 0.000 0.486 9.050 0.000 4.413 4.014 7.123" Properties=species:S:1:pos:R:3 pbc="T T T"
Ac 0.000 0.000 0.000
Ac 2.669 7.831 2.694
Ac 5.331 10.625 3.845
Ac 7.575 4.611 5.246
Ac 5.930 8.005 0.423
Ac 10.480 6.977 6.757
Ac 8.838 1.852 3.284
Ac 8.945 5.238 1.203
Pm 2.611 2.621 1.131
Pm 7.612 9.724 6.615
Pm 5.215 5.113 2.535
Pm 7.888 7.734 3.538
Pm 11.257 4.433 4.198
Nd 5.048 7.178 5.406
```


[3]
Computed X-ray powder pattern of La4AlBr6 for Cu Kα (weighted mean of Kα1 and Kα2), from the PBE geometry in Alexandria.
Lines closer than 0.1° are merged.

Main lines, sorted by position (10° ≤ 2θ ≤ 80°):
two_theta  d [Å]  intensity
21.3  4.170  100
29.0  3.075  25
31.5  2.840  36
34.1  2.632  21
35.1  2.557  62
35.3  2.545  49
40.5  2.230  16
41.6  2.172  35
42.3  2.139  18
50.7  1.800  14

```
22
Lattice="10.180 0.000 0.000 0.000 10.180 0.000 0.000 0.000 7.269" Properties=species:S:1:pos:R:3 pbc="T T T"
La 0.025 7.635 0.523
La 2.545 5.115 3.112
La 2.545 10.155 3.112
La 5.065 7.635 0.523
La 5.115 2.545 6.747
La 7.635 0.025 4.157
La 7.635 5.065 4.157
La 10.155 2.545 6.747
Al 2.545 7.635 1.817
Al 7.635 2.545 5.452
Br 0.394 5.484 5.452
Br 0.394 9.786 5.452
Br 2.545 2.545 1.340
Br 2.545 2.545 4.975
Br 4.696 5.484 5.452
Br 4.696 9.786 5.452
Br 5.484 0.394 1.817
Br 5.484 4.696 1.817
Br 7.635 7.635 2.294
Br 7.635 7.635 5.929
Br 9.786 0.394 1.817
Br 9.786 4.696 1.817
```


[4]
Computed X-ray powder pattern of Pr3Mg5 for Cu Kα (weighted mean of Kα1 and Kα2), from the PBE geometry in Alexandria.
Lines closer than 0.1° are merged.

Main lines, sorted by position (10° ≤ 2θ ≤ 80°):
two_theta  d [Å]  intensity
16.2  5.461  24
23.0  3.861  48
28.3  3.153  13
32.8  2.730  100
40.5  2.229  15
47.1  1.931  18
53.0  1.727  20
58.6  1.576  37
68.8  1.365  11
78.3  1.221  16

```
8
Lattice="-3.861 3.861 3.861 3.861 -3.861 3.861 3.861 3.861 -3.861" Properties=species:S:1:pos:R:3 pbc="T T T"
Pr 3.861 0.000 0.000
Pr 0.000 3.861 0.000
Pr 0.000 0.000 3.861
Mg 0.000 0.000 0.000
Mg 1.931 1.931 -1.931
Mg 1.931 -1.931 1.931
Mg -1.931 1.931 1.931
Mg 1.931 1.931 1.931
```


[5]
Computed X-ray powder pattern of Ag3Rh5 for Cu Kα (weighted mean of Kα1 and Kα2), from the PBE geometry in Alexandria.
Lines closer than 0.1° are merged.

Main lines, sorted by position (10° ≤ 2θ ≤ 80°):
two_theta  d [Å]  intensity
34.9  2.569  54
35.9  2.501  20
39.2  2.297  36
40.1  2.249  61
40.4  2.230  100
44.0  2.060  41
47.8  1.903  24
47.9  1.899  23
67.6  1.386  21
68.9  1.362  15

```
16
Lattice="0.000 7.255 7.275 2.501 0.000 7.275 2.501 7.255 0.000" Properties=species:S:1:pos:R:3 pbc="T T T"
Ag 2.501 7.255 2.800
Ag 1.250 3.628 3.637
Ag 2.501 4.466 7.275
Ag 2.501 10.044 7.275
Ag 3.751 10.883 10.912
Ag 2.501 7.255 11.749
Rh 2.501 2.166 5.938
Rh 2.501 2.166 8.612
Rh 3.751 7.255 7.275
Rh 2.501 5.922 5.105
Rh 2.501 8.589 5.105
Rh 2.501 5.922 9.445
Rh 2.501 8.589 9.445
Rh 1.250 7.255 7.275
Rh 2.501 12.345 5.938
Rh 2.501 12.345 8.612
```


[6]
Computed X-ray powder pattern of AcBiP2Pt7 for Cu Kα (weighted mean of Kα1 and Kα2), from the PBE geometry in Alexandria.
Lines closer than 0.1° are merged.

Main lines, sorted by position (10° ≤ 2θ ≤ 80°):
two_theta  d [Å]  intensity
23.4  3.804  21
26.2  3.397  10
33.0  2.711  12
35.7  2.516  100
43.2  2.094  11
44.1  2.054  33
47.8  1.902  11
57.9  1.592  12
64.1  1.453  18
75.6  1.258  28

```
11
Lattice="-2.054 2.054 15.107 2.054 -2.054 15.107 2.054 2.054 -15.107" Properties=species:S:1:pos:R:3 pbc="T T T"
Ac 0.000 0.000 0.000
Bi 0.000 2.054 7.553
P 0.000 0.000 11.501
P 0.000 0.000 18.713
Pt 2.054 0.000 2.426
Pt 0.000 0.000 9.280
Pt 2.054 0.000 12.681
Pt 0.000 0.000 15.107
Pt 0.000 2.054 2.430
Pt 0.000 0.000 20.934
Pt 0.000 2.054 12.677
```


[7]
Computed X-ray powder pattern of Na2Zn3GaSn4 for Cu Kα (weighted mean of Kα1 and Kα2), from the PBE geometry in Alexandria.
Lines closer than 0.1° are merged.

Main lines, sorted by position (10° ≤ 2θ ≤ 80°):
two_theta  d [Å]  intensity
14.9  5.958  43
20.9  4.247  66
29.9  2.991  27
31.6  2.829  100
39.7  2.273  72
41.3  2.185  94
42.8  2.111  29
57.3  1.607  24
67.0  1.397  23
73.1  1.295  36

```
10
Lattice="4.546 0.000 0.000 0.000 4.546 0.000 0.000 0.000 11.915" Properties=species:S:1:pos:R:3 pbc="T T T"
Na 0.000 2.273 2.957
Na 2.273 0.000 8.958
Zn 0.000 0.000 0.000
Zn 0.000 2.273 7.664
Zn 2.273 0.000 4.252
Ga 2.273 2.273 0.000
Sn 0.000 0.000 5.958
Sn 0.000 2.273 10.290
Sn 2.273 0.000 1.626
Sn 2.273 2.273 5.958
```


[8]
Computed X-ray powder pattern of RbSb2Pb for Cu Kα (weighted mean of Kα1 and Kα2), from the PBE geometry in Alexandria.
Lines closer than 0.1° are merged.

Main lines, sorted by position (10° ≤ 2θ ≤ 80°):
two_theta  d [Å]  intensity
15.1  5.856  28
20.7  4.291  62
25.7  3.461  100
30.5  2.928  81
34.2  2.620  32
35.5  2.529  41
37.2  2.419  44
40.3  2.236  27
44.8  2.025  34
52.9  1.731  35

```
4
Lattice="4.291 0.000 0.000 0.000 3.531 5.239 0.000 -3.531 5.239" Properties=species:S:1:pos:R:3 pbc="T T T"
Rb 0.000 0.000 0.000
Sb 2.146 -1.384 7.548
Sb 2.146 1.384 7.548
Pb 2.146 0.000 4.713
```